Diffraction record for Rb4La3SnO8. The X-ray powder pattern is calculated, not measured: it uses a structure optimized by DFT (PBE) and Cu Kα, 1.54184 Å.
Lines closer than 0.1° are merged.

Peak list (8 most intense, 10 to 90 degrees two-theta, by angle)
- 13.4°, I = 18
- 27.0°, I = 36
- 29.3°, I = 79
- 33.3°, I = 100
- 46.4°, I = 34
- 49.3°, I = 33
- 54.5°, I = 18
- 57.1°, I = 28

Atomic structure:
a b c (Å): 7.862 7.862 7.862
angles (deg): 56.11 56.11 56.11
Fractional positions:
Rb  0.000  0.000  0.000
Rb  0.000  0.500  0.500
Rb  0.500  0.000  0.500
Rb  0.500  0.500  0.000
La  0.000  0.000  0.500
La  0.000  0.500  0.000
La  0.500  0.000  0.000
Sn  0.500  0.500  0.500
O  0.226  0.226  0.226
O  0.236  0.723  0.723
O  0.277  0.277  0.764
O  0.277  0.764  0.277
O  0.723  0.236  0.723
O  0.723  0.723  0.236
O  0.764  0.277  0.277
O  0.774  0.774  0.774